(1)
# Pr5TlCo
Computed PXRD pattern, Cu Kα, 1.54184 Å. Input: a structure optimized by DFT (GGA-PBE).
Neutral-atom scattering factors, no anomalous dispersion.

Principal peaks in the range 2θ from 15° to 90°, in order of falling intensity:
| 2theta | I/Imax | index |
| --- | --- | --- |
| 31.0 | 100 | 2 0 -4 |
| 30.4 | 85 | 2 2 0 |
| 29.9 | 61 | 2 2 -1 |
| 30.9 | 59 | 1 1 3 |
| 31.6 | 55 | 2 2 -2 |
| 33.0 | 54 | 4 0 -2 |
| 27.2 | 43 | 2 0 2 |
| 43.2 | 40 | 4 2 0 |
| 29.7 | 40 | 0 2 2 |
| 32.2 | 34 | 3 1 1 |

Cell and atoms:
```
data_Pr5TlCo
_chemical_formula_sum 'Pr20 Tl4 Co4'
_cell_length_a 10.9577
_cell_length_b 7.1670
_cell_length_c 11.8028
_cell_angle_alpha 90.00
_cell_angle_beta 109.53
_cell_angle_gamma 90.00
_symmetry_space_group_name_H-M 'C 1 2/c 1'
_symmetry_Int_Tables_number 15
loop_
_symmetry_equiv_pos_as_xyz
'x,y,z'
'-x,-y,-z'
'-x,y,-z+1/2'
'x,-y,z+1/2'
'x+1/2,y+1/2,z'
'-x+1/2,-y+1/2,-z'
'-x+1/2,y+1/2,-z+1/2'
'x+1/2,-y+1/2,z+1/2'
loop_
_atom_site_label
_atom_site_fract_x
_atom_site_fract_y
_atom_site_fract_z
Pr1 0.0000 0.0031 0.2500
Pr2 0.1200 0.3203 0.0483
Pr3 0.2188 0.1915 0.6359
Tl1 0.0000 0.4658 0.7500
Co1 0.0000 0.0000 0.0000
```

(2)
# Li3ThPt3
Computed PXRD pattern, Cu Kα, 1.54184 Å. Input: a structure optimized by DFT (GGA-PBE).
Neutral-atom scattering factors, no anomalous dispersion.

Principal peaks in the range 2θ from 15° to 90°, in order of falling intensity:
| 2theta | I/Imax | index |
| --- | --- | --- |
| 31.6 | 100 | 2 1 0 |
| 34.7 | 99 | 2 1 1 |
| 54.2 | 57 | 3 2 1 |
| 28.2 | 42 | 2 0 0 |
| 52.0 | 25 | 3 2 0 |
| 67.8 | 23 | 4 2 1 |
| 58.2 | 21 | 4 0 0 |
| 81.9 | 21 | 5 2 0 |
| 83.6 | 17 | 5 2 1 |
| 65.9 | 16 | 4 2 0 |

Cell and atoms:
```
data_Li3ThPt3
_chemical_formula_sum 'Li6 Th2 Pt6'
_cell_length_a 6.3372
_cell_length_b 6.3372
_cell_length_c 6.3372
_cell_angle_alpha 90.00
_cell_angle_beta 90.00
_cell_angle_gamma 90.00
_symmetry_space_group_name_H-M 'P m -3 n'
_symmetry_Int_Tables_number 223
_symmetry_space_group_name_Hall '-P 4n 2 3'
loop_
_atom_site_label
_atom_site_fract_x
_atom_site_fract_y
_atom_site_fract_z
Li1 0.0000 0.2500 0.5000
Th1 0.0000 0.0000 0.0000
Pt1 0.0000 0.5000 0.2500
```

(3)
# CsKVS3
Computed PXRD pattern, Cu Kα, 1.54184 Å. Input: a structure optimized by DFT (GGA-PBE).
Neutral-atom scattering factors, no anomalous dispersion.

Principal peaks in the range 2θ from 15° to 90°, in order of falling intensity:
| 2theta | I/Imax | index |
| --- | --- | --- |
| 25.8 | 100 | 1 1 -2 |
| 31.5 | 81 | 3 1 -3 |
| 30.2 | 55 | 3 1 0 |
| 19.2 | 42 | 2 0 -3 |
| 24.1 | 37 | 4 0 -2 |
| 24.4 | 36 | 4 0 -1 |
| 28.8 | 27 | 1 1 2 |
| 33.4 | 26 | 1 1 3 |
| 23.0 | 25 | 2 0 2 |
| 30.4 | 25 | 4 0 1 |

Cell and atoms:
```
data_CsKVS3
_chemical_formula_sum 'Cs4 K4 V4 S12'
_cell_length_a 14.8441
_cell_length_b 3.9581
_cell_length_c 14.2206
_cell_angle_alpha 90.00
_cell_angle_beta 115.53
_cell_angle_gamma 90.00
_symmetry_space_group_name_H-M 'C 1 2/m 1'
_symmetry_Int_Tables_number 12
loop_
_symmetry_equiv_pos_as_xyz
'x,y,z'
'-x,-y,-z'
'-x,y,-z'
'x,-y,z'
'x+1/2,y+1/2,z'
'-x+1/2,-y+1/2,-z'
'-x+1/2,y+1/2,-z'
'x+1/2,-y+1/2,z'
loop_
_atom_site_label
_atom_site_fract_x
_atom_site_fract_y
_atom_site_fract_z
Cs1 0.1659 0.0000 0.1381
K1 0.1337 0.0000 0.5085
V1 0.0212 0.5000 0.7429
S1 0.0735 0.5000 0.9070
S2 0.0804 0.0000 0.6987
S3 0.1411 0.5000 0.3418
```

(4)
# Ac2MgNpO8
Computed PXRD pattern, Cu Kα, 1.54184 Å. Input: a structure optimized by DFT (GGA-PBE).
Neutral-atom scattering factors, no anomalous dispersion.

Principal peaks in the range 2θ from 15° to 90°, in order of falling intensity:
| 2theta | I/Imax | index |
| --- | --- | --- |
| 23.8 | 100 | 1 1 0 |
| 27.5 | 93 | 0 1 2 |
| 26.1 | 81 | 1 -1 0 |
| 22.7 | 72 | 1 0 -1 |
| 29.9 | 62 | 0 1 -2 |
| 30.0 | 54 | 1 0 2 |
| 32.6 | 44 | 0 2 0 |
| 25.7 | 43 | 1 1 1 |
| 45.1 | 38 | -2 1 1 |
| 30.9 | 34 | 1 0 -2 |

Cell and atoms:
```
data_Ac2MgNpO8
_chemical_formula_sum 'Ac2 Mg1 Np1 O8'
_cell_length_a 4.7026
_cell_length_b 5.5392
_cell_length_c 7.5759
_cell_angle_alpha 84.88
_cell_angle_beta 87.87
_cell_angle_gamma 84.48
_symmetry_space_group_name_H-M 'P -1'
_symmetry_Int_Tables_number 2
loop_
_symmetry_equiv_pos_as_xyz
'x,y,z'
'-x,-y,-z'
loop_
_atom_site_label
_atom_site_fract_x
_atom_site_fract_y
_atom_site_fract_z
Ac1 0.1050 0.0132 0.2413
Mg1 0.5000 0.5000 0.0000
Np1 0.5000 0.5000 0.5000
O1 0.1492 0.7224 0.5272
O2 0.2252 0.7923 0.9847
O3 0.3633 0.3868 0.2557
O4 0.3724 0.2222 0.6564
```